Computed X-ray powder pattern
Compound: Ca3Ni7B2
Radiation: Cu Kα (weighted mean of Kα1 and Kα2)
Structure: DFT lattice parameters and positions (GGA-PBE)
Lines closer than 0.1° are merged.

Largest 10 diffraction maxima, low angle first, 10 to 80 degrees two-theta:
- 2θ 20.4, d 4.352, intensity 46, hkl 1 0 1
- 2θ 35.8, d 2.509, intensity 31, hkl 1 0 7
- 2θ 37.3, d 2.414, intensity 30, hkl 1 1 3
- 2θ 38.1, d 2.364, intensity 40, hkl 0 0 9
- 2θ 39.5, d 2.282, intensity 57, hkl 0 1 8
- 2θ 40.8, d 2.211, intensity 100, hkl 0 2 1
- 2θ 41.5, d 2.176, intensity 80, hkl 2 0 2
- 2θ 43.5, d 2.079, intensity 88, hkl 1 1 6
- 2θ 50.9, d 1.794, intensity 37, hkl 0 2 7
- 2θ 73.8, d 1.284, intensity 37, hkl 2 2 0

Crystal structure
Cell lengths 5.1341, 5.1341, 21.2749 Å; angles 90.00, 90.00, 120.00 degrees
Space group R-3m (No. 166, hexagonal axes)
Symmetry-distinct sites (fractional):
Ca  0.0000  0.0000  0.0000
Ca  0.0000  0.0000  0.1448
Ni  0.0000  0.0000  0.5000
Ni  0.0072  0.5036  0.0647
B  0.0000  0.0000  0.3309

---

Computed X-ray powder pattern
Compound: CaNi12B6
Radiation: Cu Kα (weighted mean of Kα1 and Kα2)
Structure: DFT lattice parameters and positions (GGA-PBE)
Lines closer than 0.1° are merged.

Largest 10 diffraction maxima, low angle first, 10 to 80 degrees two-theta:
- 2θ 16.1, d 5.507, intensity 38, hkl 1 0 1
- 2θ 32.6, d 2.750, intensity 49, hkl 2 0 2
- 2θ 37.8, d 2.378, intensity 14, hkl 2 2 0
- 2θ 41.2, d 2.191, intensity 46, hkl 1 1 3
- 2θ 41.4, d 2.183, intensity 100, hkl 1 3 1
- 2θ 49.7, d 1.836, intensity 60, hkl 3 0 3
- 2θ 49.8, d 1.831, intensity 14, hkl 3 2 1
- 2θ 50.8, d 1.799, intensity 34, hkl 0 4 2
- 2θ 58.2, d 1.585, intensity 22, hkl 3 3 0
- 2θ 61.6, d 1.505, intensity 20, hkl 5 0 2

Crystal structure
Cell lengths 9.5111, 9.5111, 7.4047 Å; angles 90.00, 90.00, 120.00 degrees
Space group R-3m (No. 166, hexagonal axes)
Symmetry-distinct sites (fractional):
Ca  0.0000  0.0000  0.0000
Ni  0.0000  0.3694  0.5000
Ni  0.0899  0.1798  0.3665
B  0.0468  0.5234  0.2880

---

Computed X-ray powder pattern
Compound: CaB2O8
Radiation: Cu Kα (weighted mean of Kα1 and Kα2)
Structure: DFT lattice parameters and positions (GGA-PBE)
Lines closer than 0.1° are merged.

Largest 10 diffraction maxima, low angle first, 10 to 80 degrees two-theta:
- 2θ 21.1, d 4.217, intensity 51, hkl 0 2 1
- 2θ 23.9, d 3.718, intensity 100, hkl 1 2 1
- 2θ 26.6, d 3.354, intensity 35, hkl 2 2 0
- 2θ 31.1, d 2.879, intensity 18, hkl 2 2 1
- 2θ 34.9, d 2.572, intensity 44, hkl 3 1 0
- 2θ 39.7, d 2.270, intensity 27, hkl 2 4 1
- 2θ 40.4, d 2.231, intensity 49, hkl 1 5 1
- 2θ 48.7, d 1.872, intensity 22, hkl 0 0 3
- 2θ 49.0, d 1.859, intensity 25, hkl 4 0 1
- 2θ 49.6, d 1.838, intensity 17, hkl 1 5 2

Crystal structure
Cell lengths 7.881, 12.777, 5.614 Å; angles 90.00, 90.00, 90.00 degrees
Space group Pban (No. 50, origin choice 2)
Symmetry-distinct sites (fractional):
Ca  0.250  0.029  0.000
B  0.042  0.642  0.284
O  0.060  0.629  0.031
O  0.106  0.749  0.620
O  0.130  0.554  0.370
O  0.138  0.140  0.294

---

Computed X-ray powder pattern
Compound: CaB2O10
Radiation: Cu Kα (weighted mean of Kα1 and Kα2)
Structure: DFT lattice parameters and positions (GGA-PBE)
Lines closer than 0.1° are merged.

Largest 10 diffraction maxima, low angle first, 10 to 80 degrees two-theta:
- 2θ 21.4, d 4.157, intensity 58, hkl 1 1 0
- 2θ 25.4, d 3.509, intensity 38, hkl 0 1 2
- 2θ 26.5, d 3.359, intensity 100, hkl 1 0 2
- 2θ 27.9, d 3.194, intensity 24, hkl 1 1 -2
- 2θ 31.2, d 2.863, intensity 48, hkl 0 2 0
- 2θ 33.8, d 2.653, intensity 31, hkl 2 1 -1
- 2θ 35.5, d 2.530, intensity 92, hkl 1 1 -3
- 2θ 37.4, d 2.406, intensity 24, hkl 0 2 2
- 2θ 39.0, d 2.308, intensity 25, hkl 1 1 3
- 2θ 43.7, d 2.069, intensity 21, hkl 2 2 -1

Crystal structure
Cell lengths 6.106, 5.726, 8.973 Å; angles 90.00, 98.14, 90.00 degrees
Space group P2/c (No. 13)
Symmetry-distinct sites (fractional):
Ca  0.000  0.136  0.250
B  0.263  0.341  0.565
O  0.034  0.254  0.548
O  0.217  0.165  0.674
O  0.311  0.430  0.131
O  0.356  0.270  0.434
O  0.400  0.272  0.030

---

Computed X-ray powder pattern
Compound: CaB3O10
Radiation: Cu Kα (weighted mean of Kα1 and Kα2)
Structure: DFT lattice parameters and positions (GGA-PBE)
Lines closer than 0.1° are merged.

Largest 10 diffraction maxima, low angle first, 10 to 80 degrees two-theta:
- 2θ 11.7, d 7.548, intensity 40, hkl 0 1 0
- 2θ 15.1, d 5.848, intensity 52, hkl 1 0 0
- 2θ 15.9, d 5.581, intensity 100, hkl 1 -1 0
- 2θ 23.6, d 3.774, intensity 24, hkl 0 2 0
- 2θ 23.8, d 3.743, intensity 28, hkl 0 2 -1
- 2θ 25.2, d 3.531, intensity 45, hkl 1 -2 1
- 2θ 28.9, d 3.087, intensity 97, hkl 2 -1 0
- 2θ 29.3, d 3.050, intensity 33, hkl 0 0 3
- 2θ 31.2, d 2.869, intensity 23, hkl -1 2 2
- 2θ 46.6, d 1.949, intensity 26, hkl 1 3 -3

Crystal structure
Cell lengths 6.299, 8.035, 9.489 Å; angles 96.82, 101.05, 107.04 degrees
Space group P-1 (No. 2)
Symmetry-distinct sites (fractional):
Ca  0.161  0.218  0.108
B  0.049  0.192  0.797
B  0.123  0.293  0.579
B  0.216  0.521  0.803
O  0.017  0.934  0.126
O  0.020  0.158  0.645
O  0.090  0.639  0.834
O  0.161  0.367  0.876
O  0.173  0.250  0.447
O  0.188  0.468  0.646
O  0.392  0.723  0.239
O  0.438  0.651  0.867
O  0.460  0.441  0.447
O  0.484  0.863  0.200

---

Computed X-ray powder pattern
Compound: CaB3O10
Radiation: Cu Kα (weighted mean of Kα1 and Kα2)
Structure: DFT lattice parameters and positions (GGA-PBE)
Lines closer than 0.1° are merged.

Largest 10 diffraction maxima, low angle first, 10 to 80 degrees two-theta:
- 2θ 10.1, d 8.800, intensity 100, hkl 0 0 1
- 2θ 15.9, d 5.580, intensity 14, hkl 1 0 0
- 2θ 23.9, d 3.722, intensity 22, hkl 1 -1 1
- 2θ 28.4, d 3.138, intensity 15, hkl 0 2 1
- 2θ 28.8, d 3.103, intensity 24, hkl 0 1 -2
- 2θ 30.0, d 2.976, intensity 14, hkl 1 -1 2
- 2θ 30.5, d 2.933, intensity 25, hkl 0 0 3
- 2θ 35.4, d 2.536, intensity 14, hkl 2 -1 1
- 2θ 38.9, d 2.317, intensity 13, hkl 2 -1 2
- 2θ 41.7, d 2.167, intensity 12, hkl 0 2 -2

Crystal structure
Cell lengths 5.762, 6.280, 9.564 Å; angles 71.76, 75.81, 88.19 degrees
Space group P-1 (No. 2)
Symmetry-distinct sites (fractional):
Ca  0.179  0.190  0.116
B  0.129  0.685  0.139
B  0.172  0.329  0.630
B  0.277  0.527  0.789
O  0.036  0.784  0.261
O  0.060  0.413  0.897
O  0.094  0.050  0.457
O  0.233  0.889  0.003
O  0.267  0.780  0.775
O  0.276  0.263  0.506
O  0.283  0.513  0.641
O  0.301  0.506  0.171
O  0.394  0.849  0.868
O  0.453  0.402  0.870

---

Computed X-ray powder pattern
Compound: CaB4O7
Radiation: Cu Kα (weighted mean of Kα1 and Kα2)
Structure: DFT lattice parameters and positions (GGA-PBE)
Lines closer than 0.1° are merged.

Largest 10 diffraction maxima, low angle first, 10 to 80 degrees two-theta:
- 2θ 30.4, d 2.939, intensity 27, hkl 1 1 1
- 2θ 32.2, d 2.778, intensity 36, hkl 3 1 0
- 2θ 32.8, d 2.731, intensity 51, hkl 3 0 1
- 2θ 33.8, d 2.655, intensity 100, hkl 2 1 1
- 2θ 39.3, d 2.291, intensity 44, hkl 4 1 0
- 2θ 40.9, d 2.207, intensity 43, hkl 0 2 0
- 2θ 42.7, d 2.118, intensity 46, hkl 0 0 2
- 2θ 45.0, d 2.015, intensity 95, hkl 4 1 1
- 2θ 46.4, d 1.957, intensity 28, hkl 0 2 1
- 2θ 48.4, d 1.879, intensity 35, hkl 1 1 2

Crystal structure
Cell lengths 10.721, 4.415, 4.235 Å; angles 90.00, 90.00, 90.00 degrees
Space group Pmn2_1 (No. 31)
Symmetry-distinct sites (fractional):
Ca  0.000  0.190  0.000
B  0.121  0.673  0.505
B  0.249  0.822  0.029
O  0.000  0.778  0.615
O  0.134  0.727  0.166
O  0.139  0.353  0.581
O  0.223  0.865  0.671

---

Question: Number 6 is which compound?
Answer: CaB3O10

---

Question: Number 7 is which compound?
Answer: CaB4O7